MnFe2O4: computed PXRD pattern (copper Kα), based on a structure optimized by DFT (PBE+U).
Neutral-atom scattering factors, no anomalous dispersion.

Most intense lines, 2θ from 15° to 90°, by angle:
| 2θ/deg | I (rel.) |
| --- | --- |
| 17.8 | 35 |
| 29.3 | 44 |
| 34.3 | 55 |
| 34.4 | 50 |
| 34.6 | 100 |
| 34.7 | 48 |
| 34.8 | 52 |
| 55.6 | 42 |
| 60.6 | 48 |
| 61.3 | 46 |

Cell and atoms:
Cell lengths 6.0493, 6.0559, 6.0704 Å; angles 119.45, 119.58, 90.32 degrees
Element x y z (fractional)
Mn  0.1232  0.3738  0.2447
Mn  0.8768  0.6262  0.7553
Fe  0.0000  0.0000  0.5000
Fe  0.5000  0.0000  0.0000
Fe  0.5000  0.0000  0.5000
Fe  0.5000  0.5000  0.0000
O  0.2614  0.2230  0.5094
O  0.2663  0.7898  0.5294
O  0.2668  0.2425  0.9734
O  0.2928  0.7651  0.0378
O  0.7072  0.2349  0.9622
O  0.7332  0.7575  0.0266
O  0.7337  0.2102  0.4706
O  0.7386  0.7770  0.4906

***

Mn3Fe3O8: computed PXRD pattern (copper Kα), based on a structure optimized by DFT (PBE+U).
Neutral-atom scattering factors, no anomalous dispersion.

Most intense lines, 2θ from 15° to 90°, by angle:
| 2θ/deg | I (rel.) |
| --- | --- |
| 30.0 | 56 |
| 34.2 | 99 |
| 34.5 | 100 |
| 36.0 | 44 |
| 36.1 | 43 |
| 41.4 | 44 |
| 54.7 | 37 |
| 55.1 | 30 |
| 58.4 | 27 |
| 62.3 | 83 |

Cell and atoms:
Cell lengths 5.9764, 5.9764, 5.9764 Å; angles 118.60, 117.25, 93.64 degrees
Element x y z (fractional)
Mn  0.0000  0.0000  0.0000
Mn  0.1194  0.3706  0.7488
Mn  0.6218  0.3706  0.2512
Fe  0.2445  0.7445  0.5000
Fe  0.6194  0.3698  0.7504
Fe  0.6194  0.8690  0.2496
O  0.3819  0.1526  0.7707
O  0.3819  0.6111  0.2293
O  0.3897  0.6080  0.7817
O  0.4174  0.1332  0.2842
O  0.8262  0.6080  0.2183
O  0.8490  0.1332  0.7158
O  0.8556  0.1250  0.2694
O  0.8556  0.5863  0.7306

***

Mn13Fe11O32: computed PXRD pattern (copper Kα), based on a structure optimized by DFT (PBE+U).
Neutral-atom scattering factors, no anomalous dispersion.

Most intense lines, 2θ from 15° to 90°, by angle:
| 2θ/deg | I (rel.) |
| --- | --- |
| 17.7 | 23 |
| 29.0 | 39 |
| 29.2 | 19 |
| 34.1 | 33 |
| 34.2 | 100 |
| 34.3 | 64 |
| 41.6 | 29 |
| 54.8 | 17 |
| 54.9 | 26 |
| 60.2 | 30 |

Cell and atoms:
Cell lengths 6.1284, 6.1473, 20.3589 Å; angles 89.96, 81.63, 60.20 degrees
Element x y z (fractional)
Mn  0.0000  0.0000  0.0000
Mn  0.1892  0.3981  0.2180
Mn  0.1892  0.9028  0.7177
Mn  0.2491  0.1291  0.3754
Mn  0.3051  0.3444  0.0316
Mn  0.3126  0.8399  0.5318
Mn  0.4995  0.2521  0.7504
Mn  0.5005  0.7479  0.2496
Mn  0.6874  0.1601  0.4682
Mn  0.6949  0.6556  0.9684
Mn  0.7509  0.8709  0.6246
Mn  0.8108  0.0972  0.2823
Mn  0.8108  0.6019  0.7820
Fe  0.0000  0.5000  0.5000
Fe  0.2461  0.6302  0.3752
Fe  0.2484  0.8678  0.1249
Fe  0.2501  0.3686  0.6250
Fe  0.2516  0.1275  0.8751
Fe  0.2566  0.6278  0.8749
Fe  0.7434  0.3722  0.1251
Fe  0.7484  0.8725  0.1249
Fe  0.7499  0.6314  0.3750
Fe  0.7516  0.1322  0.8751
Fe  0.7539  0.3698  0.6248
O  0.0955  0.6759  0.5679
O  0.0985  0.1657  0.0645
O  0.0987  0.7276  0.0640
O  0.1025  0.4754  0.3204
O  0.1062  0.2225  0.5636
O  0.1158  0.9477  0.8220
O  0.1527  0.4293  0.8188
O  0.1532  0.9349  0.3188
O  0.3398  0.3273  0.4330
O  0.3634  0.8247  0.9286
O  0.3868  0.3083  0.9278
O  0.3912  0.5726  0.1816
O  0.3959  0.0130  0.1868
O  0.3965  0.5163  0.6882
O  0.3973  0.7789  0.4291
O  0.4066  0.0607  0.6800
O  0.5934  0.9393  0.3200
O  0.6027  0.2211  0.5709
O  0.6035  0.4837  0.3118
O  0.6041  0.9870  0.8132
O  0.6088  0.4274  0.8184
O  0.6132  0.6917  0.0722
O  0.6366  0.1753  0.0714
O  0.6602  0.6727  0.5670
O  0.8468  0.0651  0.6812
O  0.8473  0.5707  0.1812
O  0.8842  0.0523  0.1780
O  0.8938  0.7775  0.4364
O  0.8975  0.5246  0.6796
O  0.9013  0.2724  0.9360
O  0.9015  0.8343  0.9355
O  0.9045  0.3241  0.4321

***

Mn3Fe5O12: computed PXRD pattern (copper Kα), based on a structure optimized by DFT (PBE+U).
Neutral-atom scattering factors, no anomalous dispersion.

Most intense lines, 2θ from 15° to 90°, by angle:
| 2θ/deg | I (rel.) |
| --- | --- |
| 22.7 | 10 |
| 22.8 | 10 |
| 32.2 | 100 |
| 32.5 | 94 |
| 37.3 | 11 |
| 37.7 | 22 |
| 53.6 | 14 |
| 54.1 | 27 |
| 54.3 | 12 |
| 54.5 | 25 |

Cell and atoms:
Cell lengths 8.2459, 8.2638, 8.3313 Å; angles 109.72, 108.81, 109.40 degrees
Element x y z (fractional)
Mn  0.0000  0.0000  0.0000
Mn  0.0005  0.4962  0.4968
Mn  0.5018  0.4957  0.9948
Mn  0.5329  0.7480  0.7770
Mn  0.7190  0.4639  0.7488
Mn  0.9742  0.2469  0.7171
Fe  0.0413  0.7514  0.2896
Fe  0.2136  0.9615  0.7485
Fe  0.2509  0.2098  0.4566
Fe  0.2529  0.7120  0.9613
Fe  0.2915  0.5406  0.2492
Fe  0.4597  0.2484  0.2081
Fe  0.5036  0.0050  0.5014
Fe  0.7500  0.7859  0.5328
Fe  0.7543  0.2897  0.0414
Fe  0.7891  0.0365  0.2477
O  0.0068  0.0430  0.7678
O  0.0120  0.9520  0.2257
O  0.0428  0.4969  0.2582
O  0.0610  0.2920  0.5010
O  0.2223  0.9539  0.9982
O  0.2313  0.4478  0.9524
O  0.2403  0.2876  0.2409
O  0.2699  0.9981  0.5452
O  0.2781  0.7746  0.2244
O  0.2859  0.7444  0.7368
O  0.4505  0.2301  0.9503
O  0.4589  0.4336  0.7339
O  0.4926  0.7632  0.5386
O  0.4950  0.2173  0.4409
O  0.5395  0.7553  0.0293
O  0.5501  0.5532  0.2618
O  0.7169  0.2327  0.7747
O  0.7190  0.2729  0.2635
O  0.7381  0.0038  0.4688
O  0.7575  0.7119  0.7520
O  0.7684  0.5541  0.0634
O  0.7882  0.0524  0.9947
O  0.9549  0.7175  0.5014
O  0.9650  0.5025  0.7408

***

Mn3FeO8: computed PXRD pattern (copper Kα), based on a structure optimized by DFT (PBE+U).
Neutral-atom scattering factors, no anomalous dispersion.

Most intense lines, 2θ from 15° to 90°, by angle:
| 2θ/deg | I (rel.) |
| --- | --- |
| 18.8 | 100 |
| 35.7 | 35 |
| 37.4 | 7 |
| 43.7 | 50 |
| 47.9 | 9 |
| 58.1 | 15 |
| 63.1 | 15 |
| 63.9 | 11 |
| 66.4 | 14 |
| 79.9 | 6 |

Cell and atoms:
Cell lengths 5.8273, 5.8273, 5.8273 Å; angles 60.78, 60.78, 60.78 degrees
Element x y z (fractional)
Mn  0.0000  0.5000  0.5000
Mn  0.5000  0.0000  0.5000
Mn  0.5000  0.5000  0.0000
Fe  0.0000  0.0000  0.0000
O  0.2382  0.2382  0.7270
O  0.2382  0.7270  0.2382
O  0.2656  0.2656  0.2656
O  0.2730  0.7618  0.7618
O  0.7270  0.2382  0.2382
O  0.7344  0.7344  0.7344
O  0.7618  0.2730  0.7618
O  0.7618  0.7618  0.2730

***

Mn3FeO8: computed PXRD pattern (copper Kα), based on a structure optimized by DFT (PBE+U).
Neutral-atom scattering factors, no anomalous dispersion.

Most intense lines, 2θ from 15° to 90°, by angle:
| 2θ/deg | I (rel.) |
| --- | --- |
| 18.2 | 36 |
| 18.6 | 100 |
| 35.5 | 12 |
| 35.9 | 24 |
| 36.2 | 10 |
| 37.8 | 9 |
| 43.6 | 67 |
| 57.8 | 10 |
| 62.9 | 18 |
| 64.0 | 17 |

Cell and atoms:
Cell lengths 5.9156, 5.9156, 5.9156 Å; angles 58.95, 58.95, 58.95 degrees
Element x y z (fractional)
Mn  0.0000  0.5000  0.5000
Mn  0.5000  0.0000  0.5000
Mn  0.5000  0.5000  0.0000
Fe  0.5000  0.5000  0.5000
O  0.2606  0.2606  0.7061
O  0.2606  0.7061  0.2606
O  0.2660  0.2660  0.2660
O  0.2939  0.7394  0.7394
O  0.7061  0.2606  0.2606
O  0.7340  0.7340  0.7340
O  0.7394  0.2939  0.7394
O  0.7394  0.7394  0.2939

***

Mn5Fe4O12: computed PXRD pattern (copper Kα), based on a structure optimized by DFT (PBE+U).
Neutral-atom scattering factors, no anomalous dispersion.

Most intense lines, 2θ from 15° to 90°, by angle:
| 2θ/deg | I (rel.) |
| --- | --- |
| 29.1 | 34 |
| 29.3 | 17 |
| 34.2 | 47 |
| 34.3 | 100 |
| 34.5 | 29 |
| 41.6 | 27 |
| 55.0 | 20 |
| 55.1 | 16 |
| 60.2 | 27 |
| 60.4 | 27 |

Cell and atoms:
Cell lengths 6.1113, 6.1266, 13.6817 Å; angles 102.42, 102.60, 90.32 degrees
Element x y z (fractional)
Mn  0.0000  0.0000  0.0000
Mn  0.0049  0.9998  0.5017
Mn  0.1175  0.8777  0.7494
Mn  0.2061  0.4594  0.9182
Mn  0.4633  0.2091  0.4191
Mn  0.5552  0.7955  0.5845
Mn  0.6696  0.6671  0.3327
Mn  0.7955  0.5463  0.0846
Mn  0.8362  0.3375  0.6681
Mn  0.8763  0.1225  0.2489
Fe  0.0050  0.5019  0.5021
Fe  0.1728  0.6637  0.3337
Fe  0.3348  0.3344  0.1670
Fe  0.3359  0.3355  0.6678
Fe  0.3372  0.8304  0.1666
Fe  0.4994  0.0049  0.0024
Fe  0.6670  0.6689  0.8332
Fe  0.6684  0.1705  0.8339
O  0.0641  0.1094  0.6609
O  0.0673  0.5564  0.6598
O  0.0951  0.0696  0.1505
O  0.1099  0.6067  0.1814
O  0.2161  0.2443  0.5017
O  0.2326  0.7330  0.4926
O  0.2414  0.2116  0.9994
O  0.2431  0.7845  0.0063
O  0.4240  0.4499  0.3332
O  0.4263  0.8853  0.3258
O  0.4501  0.9217  0.8402
O  0.4528  0.4186  0.8351
O  0.5575  0.5917  0.1675
O  0.5588  0.0629  0.1534
O  0.6095  0.5684  0.6780
O  0.6099  0.1150  0.6784
O  0.7535  0.7780  0.9902
O  0.7564  0.2169  0.9922
O  0.7747  0.2713  0.5180
O  0.7949  0.7594  0.4994
O  0.8901  0.4136  0.8209
O  0.9000  0.9266  0.8484
O  0.9141  0.4498  0.3432
O  0.9236  0.8937  0.3434

***

Mn2FeO3: computed PXRD pattern (copper Kα), based on a structure optimized by DFT (PBE+U).
Neutral-atom scattering factors, no anomalous dispersion.

Most intense lines, 2θ from 15° to 90°, by angle:
| 2θ/deg | I (rel.) |
| --- | --- |
| 34.5 | 47 |
| 34.9 | 15 |
| 40.2 | 100 |
| 57.9 | 30 |
| 58.3 | 10 |
| 58.5 | 19 |
| 69.2 | 6 |
| 69.4 | 8 |
| 72.9 | 9 |
| 86.8 | 5 |

Cell and atoms:
Cell lengths 5.5154, 3.1855, 7.7090 Å; angles 90.00, 90.18, 90.00 degrees
Element x y z (fractional)
Mn  0.0000  0.0000  0.0000
Mn  0.1701  0.5000  0.3353
Mn  0.5000  0.5000  0.0000
Mn  0.8299  0.5000  0.6647
Fe  0.3319  0.0000  0.6654
Fe  0.6681  0.0000  0.3346
O  0.0000  0.0000  0.5000
O  0.1672  0.5000  0.8276
O  0.3370  0.0000  0.1685
O  0.5000  0.5000  0.5000
O  0.6630  0.0000  0.8315
O  0.8328  0.5000  0.1724

***

Mn2FeO4: computed PXRD pattern (copper Kα), based on a structure optimized by DFT (PBE+U).
Neutral-atom scattering factors, no anomalous dispersion.

Most intense lines, 2θ from 15° to 90°, by angle:
| 2θ/deg | I (rel.) |
| --- | --- |
| 28.7 | 34 |
| 32.6 | 40 |
| 33.0 | 100 |
| 34.9 | 44 |
| 35.2 | 57 |
| 35.3 | 45 |
| 35.4 | 47 |
| 43.1 | 39 |
| 59.3 | 53 |
| 60.0 | 52 |

Cell and atoms:
Cell lengths 6.1926, 6.1926, 5.9798 Å; angles 118.16, 118.16, 56.79 degrees
Element x y z (fractional)
Mn  0.0000  0.0000  0.0000
Mn  0.0000  0.4950  0.9961
Mn  0.0047  0.0047  0.5030
Mn  0.4950  0.0000  0.9961
Fe  0.3805  0.3805  0.6161
Fe  0.6260  0.6260  0.3864
O  0.2361  0.7793  0.7376
O  0.2423  0.7698  0.2695
O  0.2444  0.2444  0.2117
O  0.2560  0.2560  0.7841
O  0.7461  0.7461  0.2206
O  0.7563  0.7563  0.7780
O  0.7698  0.2423  0.2695
O  0.7793  0.2361  0.7376